Structure and theoretical powder XRD pattern of Ac3In3Pd (a DFT-relaxed cell (PBE, Alexandria); λ = 1.5418 Å (Cu Kα)).
Kinematic intensities with the Lorentz-polarization factor, no thermal factor.

Crystal structure
a b c (Å): 6.7709 6.7709 17.2092
angles (deg): 103.62 103.62 35.97
Positions (direct):
Ac1 0.0133 0.0133 0.3876
Ac2 0.1275 0.1275 0.9228
Ac3 0.2316 0.2316 0.2440
Ac4 0.7684 0.7684 0.7560
Ac5 0.8725 0.8725 0.0772
Ac6 0.9867 0.9867 0.6124
In1 0.3180 0.3180 0.4590
In2 0.3994 0.3994 0.9216
In3 0.4945 0.4945 0.7727
In4 0.5055 0.5055 0.2273
In5 0.6006 0.6006 0.0784
In6 0.6820 0.6820 0.5410
Pd1 0.3110 0.3110 0.6314
Pd2 0.6890 0.6890 0.3686

Principal peaks in the range 2θ from 10° to 80°, sorted by position:
2θ = 22.53°, rel. 10.9; 2θ = 27.76°, rel. 12.4; 2θ = 27.94°, rel. 10.8; 2θ = 28.67°, rel. 38.7; 2θ = 29.84°, rel. 100.0; 2θ = 32.21°, rel. 20.2; 2θ = 34.00°, rel. 45.0; 2θ = 34.15°, rel. 17.4; 2θ = 43.27°, rel. 23.7; 2θ = 44.44°, rel. 23.2; 2θ = 45.23°, rel. 10.5; 2θ = 54.63°, rel. 11.5